1.
Starting from DFT lattice parameters and positions (GGA-PBE), the X-ray diffraction stick pattern of Ga2SnAu4 was computed for Cu Kα, 1.54184 Å.
Kinematic intensities with the Lorentz-polarization factor, no thermal factor.

Cell and atoms:
```
Ga2SnAu4
1.0
7.7965 0.0000 0.0000
0.0000 10.1677 0.0000
0.0000 0.0000 3.5629
Ga Sn Au
4 2 8
Direct
0.2500 0.2500 0.0000
0.2500 0.7500 0.0000
0.7500 0.2500 0.0000
0.7500 0.7500 0.0000
0.0000 0.0000 0.5031
0.5000 0.5000 0.5031
0.0000 0.3054 0.5007
0.0000 0.6946 0.5007
0.1949 0.5000 0.0047
0.3051 0.0000 0.0047
0.5000 0.1946 0.5007
0.5000 0.8054 0.5007
0.6949 0.0000 0.0047
0.8051 0.5000 0.0047
```

Largest 8 diffraction maxima, in order of rising 2θ, 2θ = 10–90°:
2θ (°)  d_spacing  intensity
28.87  3.092  23
30.64  2.918  26
34.09  2.630  100
35.31  2.542  26
38.43  2.342  55
43.90  2.062  35
49.90  1.828  30
71.72  1.316  26


2.
Starting from DFT lattice parameters and positions (GGA-PBE), the X-ray diffraction stick pattern of Zn2Ga2Co3 was computed for Cu Kα, 1.54184 Å.
Kinematic intensities with the Lorentz-polarization factor, no thermal factor.

Cell and atoms:
```
Zn2Ga2Co3
1.0
7.0246 0.0000 0.0000
0.0000 4.0521 0.0000
-2.3523 0.0000 6.4706
Zn Ga Co
4 4 6
Direct
0.1309 0.0000 0.3931
0.3691 0.5000 0.6069
0.6309 0.5000 0.3931
0.8691 0.0000 0.6069
0.1148 0.5000 0.8444
0.3852 0.0000 0.1556
0.6148 0.0000 0.8444
0.8852 0.5000 0.1556
0.0000 0.0000 0.0000
0.2418 0.5000 0.2255
0.2582 0.0000 0.7745
0.5000 0.5000 0.0000
0.7418 0.0000 0.2255
0.7582 0.5000 0.7745
```

Largest 8 diffraction maxima, in order of rising 2θ, 2θ = 10–90°:
2θ (°)  d_spacing  intensity
31.45  2.844  12
41.50  2.176  18
44.71  2.027  100
45.44  1.996  81
65.57  1.424  8
65.69  1.421  17
82.41  1.170  15
82.93  1.164  25


3.
Starting from DFT lattice parameters and positions (GGA-PBE), the X-ray diffraction stick pattern of BaLiGa2Pt2 was computed for Cu Kα, 1.54184 Å.
Kinematic intensities with the Lorentz-polarization factor, no thermal factor.

Cell and atoms:
```
BaLiGa2Pt2
1.0
4.4087 0.0000 0.0000
-2.2044 3.8181 0.0000
0.0000 0.0000 7.5575
Ba Li Ga Pt
1 1 2 2
Direct
0.0000 0.0000 0.0000
0.0000 0.0000 0.5000
0.3333 0.6667 0.3382
0.6667 0.3333 0.6618
0.3333 0.6667 0.6834
0.6667 0.3333 0.3166
```

Largest 8 diffraction maxima, in order of rising 2θ, 2θ = 10–90°:
2θ (°)  d_spacing  intensity
26.15  3.408  100
33.36  2.686  59
35.64  2.519  31
40.94  2.204  70
49.23  1.851  18
55.38  1.659  53
65.89  1.417  15
85.48  1.136  16


4.
Starting from DFT lattice parameters and positions (GGA-PBE), the X-ray diffraction stick pattern of ZrAlPt5 was computed for Cu Kα, 1.54184 Å.
Kinematic intensities with the Lorentz-polarization factor, no thermal factor.

Cell and atoms:
```
ZrAlPt5
1.0
4.0371 0.0000 0.0000
0.0000 4.0371 0.0000
0.0000 0.0000 7.1383
Zr Al Pt
1 1 5
Direct
0.0000 0.0000 0.0000
0.5000 0.5000 0.5000
0.0000 0.5000 0.2845
0.0000 0.5000 0.7155
0.5000 0.0000 0.2845
0.5000 0.0000 0.7155
0.5000 0.5000 0.0000
```

Largest 8 diffraction maxima, in order of rising 2θ, 2θ = 10–90°:
2θ (°)  d_spacing  intensity
31.34  2.855  20
33.82  2.651  29
37.81  2.379  15
40.46  2.229  100
44.91  2.019  43
60.11  1.539  16
74.28  1.277  18
79.78  1.202  28


5.
Starting from DFT lattice parameters and positions (GGA-PBE), the X-ray diffraction stick pattern of Nd3Sm6Sc2 was computed for Cu Kα, 1.54184 Å.
Kinematic intensities with the Lorentz-polarization factor, no thermal factor.

Cell and atoms:
```
Nd3Sm6Sc2
1.0
2.8906 -6.0522 0.0000
2.8906 6.0522 0.0000
-0.0070 0.0000 10.3439
Nd Sm Sc
3 6 2
Direct
0.0000 0.0000 0.0000
0.2949 0.7051 0.0000
0.7051 0.2949 0.0000
0.1500 0.8483 0.3170
0.1517 0.8500 0.6829
0.4990 0.4990 0.2143
0.5010 0.5010 0.7857
0.8483 0.1500 0.3170
0.8500 0.1517 0.6829
0.3727 0.6273 0.5000
0.6273 0.3727 0.5000
```

Largest 8 diffraction maxima, in order of rising 2θ, 2θ = 10–90°:
2θ (°)  d_spacing  intensity
25.84  3.448  20
28.32  3.151  25
30.79  2.904  18
30.94  2.891  47
31.09  2.876  39
32.12  2.787  100
55.77  1.648  20
62.18  1.493  22


6.
Starting from DFT lattice parameters and positions (GGA-PBE), the X-ray diffraction stick pattern of SmHo4In2 was computed for Cu Kα, 1.54184 Å.
Kinematic intensities with the Lorentz-polarization factor, no thermal factor.

Cell and atoms:
```
SmHo4In2
1.0
0.0000 5.3876 5.8751
3.3983 0.0000 5.8751
3.3983 5.3876 0.0000
Sm Ho In
1 4 2
Direct
0.0000 0.0000 0.0000
0.2500 0.2500 0.2500
0.3326 0.6674 0.3326
0.6674 0.3326 0.6674
0.7500 0.7500 0.7500
0.2776 0.2776 0.7224
0.7224 0.7224 0.2776
```

Largest 8 diffraction maxima, in order of rising 2θ, 2θ = 10–90°:
2θ (°)  d_spacing  intensity
29.13  3.066  52
30.41  2.939  100
31.12  2.874  34
34.75  2.582  56
36.42  2.467  53
36.70  2.449  23
54.00  1.698  25
67.01  1.397  32


7.
Starting from DFT lattice parameters and positions (GGA-PBE), the X-ray diffraction stick pattern of TbTm3Au4 was computed for Cu Kα, 1.54184 Å.
Kinematic intensities with the Lorentz-polarization factor, no thermal factor.

Cell and atoms:
```
TbTm3Au4
1.0
2.5197 1.4547 8.2753
-2.5197 1.4547 8.2753
0.0000 -2.9095 8.2753
Tb Tm Au
1 3 4
Direct
0.0000 0.0000 0.0000
0.2495 0.2495 0.2495
0.5000 0.5000 0.5000
0.7505 0.7505 0.7505
0.1263 0.1263 0.1263
0.3768 0.3768 0.3768
0.6232 0.6232 0.6232
0.8737 0.8737 0.8737
```

Largest 8 diffraction maxima, in order of rising 2θ, 2θ = 10–90°:
2θ (°)  d_spacing  intensity
35.50  2.529  100
35.63  2.520  99
51.17  1.785  36
63.65  1.462  18
63.94  1.456  55
75.46  1.260  12
86.02  1.130  17
86.26  1.128  17


8.
Starting from DFT lattice parameters and positions (GGA-PBE), the X-ray diffraction stick pattern of Sr4CuRe was computed for Cu Kα, 1.54184 Å.
Kinematic intensities with the Lorentz-polarization factor, no thermal factor.

Cell and atoms:
```
Sr4CuRe
1.0
0.0000 4.7379 4.7379
4.7379 0.0000 4.7379
4.7379 4.7379 0.0000
Sr Cu Re
4 1 1
Direct
0.3759 0.3759 0.3759
0.3759 0.3759 0.8722
0.3759 0.8722 0.3759
0.8722 0.3759 0.3759
0.0000 0.0000 0.0000
0.7500 0.7500 0.7500
```

Largest 8 diffraction maxima, in order of rising 2θ, 2θ = 10–90°:
2θ (°)  d_spacing  intensity
26.61  3.350  36
31.31  2.857  100
32.74  2.735  31
46.98  1.934  16
50.02  1.824  36
54.80  1.675  28
65.32  1.429  12
77.35  1.234  22